SrCo7O12: simulated powder X-ray diffraction pattern (λ = 1.5418 Å (Cu Kα)), based on a DFT-relaxed cell (PBE+U, OQMD).

```
data_SrCo7O12
_chemical_formula_sum 'Sr2 Co14 O24'
_cell_length_a 7.3415
_cell_length_b 7.3415
_cell_length_c 7.3415
_cell_angle_alpha 90.00
_cell_angle_beta 90.00
_cell_angle_gamma 90.00
_symmetry_space_group_name_H-M 'I m -3'
_symmetry_Int_Tables_number 204
_symmetry_space_group_name_Hall '-I 2 2 3'
loop_
_atom_site_label
_atom_site_type_symbol
_atom_site_fract_x
_atom_site_fract_y
_atom_site_fract_z
_atom_site_occupancy
Sr1 Sr 0.0000 0.0000 0.0000 1
Co1 Co 0.0000 0.0000 0.5000 1
Co2 Co 0.2500 0.2500 0.2500 1
O1 O 0.0000 0.3171 0.1752 1
```

Peak list (10 most intense, 10° ≤ 2θ ≤ 90°, low angle first)
- (2 2 0), d = 2.596 Å, 34.6 deg, I 100
- (3 0 1), d = 2.322 Å, 38.8 deg, I 7
- (2 2 2), d = 2.119 Å, 42.7 deg, I 2
- (3 1 2), d = 1.962 Å, 46.3 deg, I 5
- (4 0 0), d = 1.835 Å, 49.7 deg, I 24
- (4 2 2), d = 1.499 Å, 61.9 deg, I 48
- (4 4 0), d = 1.298 Å, 72.9 deg, I 12
- (5 3 0), d = 1.259 Å, 75.5 deg, I 1
- (5 2 3), d = 1.191 Å, 80.7 deg, I 1
- (6 2 0), d = 1.161 Å, 83.2 deg, I 16